Starting from a structure optimized by DFT (GGA-PBE), the powder XRD pattern of Pm5H2Ir2 was simulated for a wavelength of 1.5418 Å.
Intensities are scaled so that the largest is 100.

Top 10 peaks for 2θ from 10° to 90°, in order of falling intensity:
- 35.76°, rel. 100
- 28.39°, rel. 80
- 36.96°, rel. 58
- 32.53°, rel. 55
- 33.57°, rel. 51
- 18.24°, rel. 44
- 10.06°, rel. 40
- 29.05°, rel. 36
- 55.51°, rel. 31
- 27.29°, rel. 31

Atomic structure:
a = 10.0531 Å, b = 10.0531 Å, c = 10.0531 Å
α = 57.95°, β = 138.93°, γ = 140.96°
Element x y z (fractional)
Pm 0.1968 0.4503 0.0494
Pm 0.1968 0.6474 0.2465
Pm 0.2417 0.0221 0.2638
Pm 0.2417 0.4779 0.7196
Pm 0.4009 0.1474 0.9506
Pm 0.4009 0.9503 0.7535
Pm 0.7197 0.5618 0.6580
Pm 0.7583 0.5221 0.2804
Pm 0.7583 0.9779 0.7362
Pm 0.9038 0.0618 0.3420
H 0.0709 0.9152 0.6557
H 0.2530 0.2530 0.0000
H 0.2530 0.7530 0.5000
H 0.2595 0.4152 0.3443
Ir 0.6783 0.1219 0.3671
Ir 0.6783 0.8112 0.0564
Ir 0.7548 0.3112 0.6329
Ir 0.7548 0.6219 0.9436

---

Starting from a structure optimized by DFT (GGA-PBE), the powder XRD pattern of Pm2H6IrRh was simulated for a wavelength of 1.5418 Å.
Intensities are scaled so that the largest is 100.

Top 10 peaks for 2θ from 10° to 90°, in order of falling intensity:
- 33.94°, rel. 100
- 34.06°, rel. 50
- 60.65°, rel. 19
- 60.80°, rel. 19
- 60.99°, rel. 19
- 48.56°, rel. 9
- 48.80°, rel. 9
- 49.09°, rel. 9
- 81.19°, rel. 8
- 81.56°, rel. 8

Atomic structure:
a = 5.2906 Å, b = 5.2759 Å, c = 5.2640 Å
α = 60.26°, β = 59.98°, γ = 59.76°
Element x y z (fractional)
Pm 0.2500 0.2500 0.2500
Pm 0.7500 0.7500 0.7500
H 0.2438 0.2438 0.7562
H 0.2450 0.7550 0.2450
H 0.2448 0.7552 0.7552
H 0.7552 0.2448 0.2448
H 0.7550 0.2450 0.7550
H 0.7562 0.7562 0.2438
Ir 0.0000 0.0000 0.0000
Rh 0.5000 0.5000 0.5000

---

Starting from a structure optimized by DFT (GGA-PBE), the powder XRD pattern of PrZnH8Ir2 was simulated for a wavelength of 1.5418 Å.
Intensities are scaled so that the largest is 100.

Top 10 peaks for 2θ from 10° to 90°, in order of falling intensity:
- 30.90°, rel. 100
- 38.26°, rel. 90
- 35.06°, rel. 50
- 64.61°, rel. 46
- 49.95°, rel. 34
- 22.48°, rel. 20
- 69.17°, rel. 16
- 67.11°, rel. 16
- 52.86°, rel. 16
- 44.52°, rel. 15

Atomic structure:
a = 6.1179 Å, b = 6.1179 Å, c = 6.1179 Å
α = 45.23°, β = 45.23°, γ = 45.23°
Element x y z (fractional)
Pr 0.0000 0.0000 0.0000
Zn 0.5000 0.5000 0.5000
H 0.1172 0.5579 0.5579
H 0.3166 0.3166 0.3166
H 0.4421 0.4421 0.8828
H 0.4421 0.8828 0.4421
H 0.5579 0.1172 0.5579
H 0.5579 0.5579 0.1172
H 0.6834 0.6834 0.6834
H 0.8828 0.4421 0.4421
Ir 0.2172 0.2172 0.2172
Ir 0.7828 0.7828 0.7828

---

Starting from a structure optimized by DFT (GGA-PBE), the powder XRD pattern of ScH4IrPt2 was simulated for a wavelength of 1.5418 Å.
Intensities are scaled so that the largest is 100.

Top 10 peaks for 2θ from 10° to 90°, in order of falling intensity:
- 34.46°, rel. 100
- 37.78°, rel. 79
- 41.21°, rel. 31
- 41.61°, rel. 30
- 43.12°, rel. 26
- 75.47°, rel. 21
- 61.17°, rel. 19
- 61.47°, rel. 19
- 22.90°, rel. 18
- 68.70°, rel. 15

Atomic structure:
a = 5.7855 Å, b = 8.3907 Å, c = 4.3822 Å
α = 90.00°, β = 130.78°, γ = 90.00°
Element x y z (fractional)
Sc 0.0000 0.0000 0.0000
Sc 0.5000 0.5000 0.0000
H 0.2142 0.6276 0.4342
H 0.2322 0.3287 0.0185
H 0.2678 0.8287 0.9815
H 0.2858 0.1276 0.5658
H 0.7142 0.1276 0.4342
H 0.7322 0.8287 0.0185
H 0.7678 0.3287 0.9815
H 0.7858 0.6276 0.5658
Ir 0.0000 0.7521 0.5000
Ir 0.5000 0.2521 0.5000
Pt 0.0000 0.2619 0.5000
Pt 0.0000 0.4982 0.0000
Pt 0.5000 0.7619 0.5000
Pt 0.5000 0.9982 0.0000

---

Starting from a structure optimized by DFT (GGA-PBE), the powder XRD pattern of SmH4IrPt2 was simulated for a wavelength of 1.5418 Å.
Intensities are scaled so that the largest is 100.

Top 10 peaks for 2θ from 10° to 90°, in order of falling intensity:
- 32.92°, rel. 100
- 37.19°, rel. 74
- 39.43°, rel. 31
- 40.52°, rel. 29
- 42.32°, rel. 24
- 74.05°, rel. 18
- 59.21°, rel. 18
- 60.02°, rel. 17
- 64.71°, rel. 15
- 51.80°, rel. 15

Atomic structure:
a = 5.8661 Å, b = 8.5429 Å, c = 4.5299 Å
α = 90.00°, β = 128.81°, γ = 90.00°
Element x y z (fractional)
Sm 0.0000 0.0000 0.0000
Sm 0.5000 0.5000 0.0000
H 0.1811 0.6275 0.3709
H 0.2276 0.2729 0.0110
H 0.2724 0.7729 0.9890
H 0.3189 0.1275 0.6291
H 0.6811 0.1275 0.3709
H 0.7276 0.7729 0.0110
H 0.7724 0.2729 0.9890
H 0.8189 0.6275 0.6291
Ir 0.0000 0.7462 0.5000
Ir 0.5000 0.2462 0.5000
Pt 0.0000 0.2625 0.5000
Pt 0.0000 0.4783 0.0000
Pt 0.5000 0.7625 0.5000
Pt 0.5000 0.9783 0.0000

---

Starting from a structure optimized by DFT (GGA-PBE), the powder XRD pattern of Sn2H6IrPt was simulated for a wavelength of 1.5418 Å.
Intensities are scaled so that the largest is 100.

Top 10 peaks for 2θ from 10° to 90°, in order of falling intensity:
- 30.93°, rel. 100
- 15.87°, rel. 83
- 39.23°, rel. 52
- 38.85°, rel. 50
- 35.82°, rel. 42
- 37.03°, rel. 40
- 41.97°, rel. 39
- 28.00°, rel. 27
- 28.51°, rel. 22
- 56.05°, rel. 19

Atomic structure:
a = 4.7193 Å, b = 4.7193 Å, c = 5.7741 Å
α = 100.22°, β = 100.22°, γ = 91.46°
Element x y z (fractional)
Sn 0.2436 0.7564 0.0000
Sn 0.7564 0.2436 0.0000
H 0.1153 0.5967 0.4250
H 0.1248 0.1248 0.4581
H 0.4092 0.4092 0.6127
H 0.5967 0.1153 0.4250
H 0.5980 0.5980 0.4217
H 0.8973 0.8973 0.6597
Ir 0.3300 0.3300 0.3234
Pt 0.8499 0.8499 0.3598

---

Starting from a structure optimized by DFT (GGA-PBE), the powder XRD pattern of TmH4IrPt2 was simulated for a wavelength of 1.5418 Å.
Intensities are scaled so that the largest is 100.

Top 10 peaks for 2θ from 10° to 90°, in order of falling intensity:
- 33.43°, rel. 100
- 37.97°, rel. 72
- 39.97°, rel. 31
- 40.45°, rel. 30
- 44.07°, rel. 23
- 61.00°, rel. 17
- 61.35°, rel. 17
- 51.69°, rel. 15
- 65.57°, rel. 15
- 66.24°, rel. 14

Atomic structure:
a = 5.8012 Å, b = 8.2185 Å, c = 4.5481 Å
α = 90.00°, β = 128.95°, γ = 90.00°
Element x y z (fractional)
Tm 0.0000 0.0000 0.0000
Tm 0.5000 0.5000 0.0000
H 0.1940 0.6229 0.4002
H 0.2282 0.2775 0.0110
H 0.2718 0.7775 0.9890
H 0.3060 0.1229 0.5998
H 0.6940 0.1229 0.4002
H 0.7282 0.7775 0.0110
H 0.7718 0.2775 0.9890
H 0.8060 0.6229 0.5998
Ir 0.0000 0.7506 0.5000
Ir 0.5000 0.2506 0.5000
Pt 0.0000 0.2613 0.5000
Pt 0.0000 0.4837 0.0000
Pt 0.5000 0.7613 0.5000
Pt 0.5000 0.9837 0.0000

---

Starting from a structure optimized by DFT (GGA-PBE), the powder XRD pattern of PuH8Ir2 was simulated for a wavelength of 1.5418 Å.
Intensities are scaled so that the largest is 100.

Top 10 peaks for 2θ from 10° to 90°, in order of falling intensity:
- 33.92°, rel. 100
- 22.10°, rel. 42
- 41.20°, rel. 29
- 70.44°, rel. 26
- 55.46°, rel. 26
- 35.47°, rel. 22
- 62.69°, rel. 19
- 33.51°, rel. 15
- 71.37°, rel. 12
- 47.24°, rel. 12

Atomic structure:
a = 5.9355 Å, b = 5.9355 Å, c = 5.9355 Å
α = 136.67°, β = 136.67°, γ = 62.95°
Element x y z (fractional)
Pu 0.0000 0.0000 0.0000
H 0.1165 0.1165 0.5461
H 0.1165 0.5704 0.0000
H 0.4296 0.4296 0.5461
H 0.4296 0.8835 0.0000
H 0.5704 0.1165 0.0000
H 0.5704 0.5704 0.4539
H 0.8835 0.4296 0.0000
H 0.8835 0.8835 0.4539
Ir 0.2500 0.7500 0.5000
Ir 0.7500 0.2500 0.5000

---

Starting from a structure optimized by DFT (GGA-PBE), the powder XRD pattern of PuH8IrRh2 was simulated for a wavelength of 1.5418 Å.
Intensities are scaled so that the largest is 100.

Top 10 peaks for 2θ from 10° to 90°, in order of falling intensity:
- 30.74°, rel. 100
- 38.42°, rel. 66
- 49.98°, rel. 26
- 24.39°, rel. 25
- 64.76°, rel. 24
- 49.11°, rel. 18
- 50.97°, rel. 16
- 64.03°, rel. 12
- 69.49°, rel. 12
- 59.93°, rel. 11

Atomic structure:
a = 6.1854 Å, b = 6.1854 Å, c = 6.1854 Å
α = 44.52°, β = 44.52°, γ = 44.52°
Element x y z (fractional)
Pu 0.0000 0.0000 0.0000
H 0.1508 0.4093 0.7575
H 0.2425 0.8492 0.5907
H 0.3179 0.3179 0.3179
H 0.4093 0.7575 0.1508
H 0.5907 0.2425 0.8492
H 0.6821 0.6821 0.6821
H 0.7575 0.1508 0.4093
H 0.8492 0.5907 0.2425
Ir 0.5000 0.5000 0.5000
Rh 0.2210 0.2210 0.2210
Rh 0.7790 0.7790 0.7790

---

Starting from a structure optimized by DFT (GGA-PBE), the powder XRD pattern of TbPuH8Ir2 was simulated for a wavelength of 1.5418 Å.
Intensities are scaled so that the largest is 100.

Top 10 peaks for 2θ from 10° to 90°, in order of falling intensity:
- 29.16°, rel. 100
- 39.62°, rel. 56
- 43.71°, rel. 28
- 49.94°, rel. 23
- 65.55°, rel. 21
- 74.72°, rel. 12
- 71.89°, rel. 11
- 13.64°, rel. 11
- 60.45°, rel. 11
- 71.40°, rel. 9

Atomic structure:
a = 7.0030 Å, b = 7.0030 Å, c = 7.0030 Å
α = 37.91°, β = 37.91°, γ = 37.91°
Element x y z (fractional)
Tb 0.0000 0.0000 0.0000
Pu 0.5000 0.5000 0.5000
H 0.0856 0.5379 0.5379
H 0.1464 0.1464 0.1464
H 0.4621 0.4621 0.9144
H 0.4621 0.9144 0.4621
H 0.5379 0.0856 0.5379
H 0.5379 0.5379 0.0856
H 0.8536 0.8536 0.8536
H 0.9144 0.4621 0.4621
Ir 0.2349 0.2349 0.2349
Ir 0.7651 0.7651 0.7651

---

Starting from a structure optimized by DFT (GGA-PBE), the powder XRD pattern of RbH8Ir2 was simulated for a wavelength of 1.5418 Å.
Intensities are scaled so that the largest is 100.

Top 10 peaks for 2θ from 10° to 90°, in order of falling intensity:
- 14.47°, rel. 100
- 24.80°, rel. 64
- 27.74°, rel. 49
- 29.18°, rel. 46
- 42.16°, rel. 37
- 39.37°, rel. 33
- 20.03°, rel. 24
- 35.89°, rel. 24
- 36.03°, rel. 23
- 32.73°, rel. 18

Atomic structure:
a = 4.6654 Å, b = 4.6654 Å, c = 6.1211 Å
α = 90.17°, β = 90.17°, γ = 108.19°
Element x y z (fractional)
Rb 0.0000 0.0000 0.0000
H 0.0747 0.4390 0.6808
H 0.0778 0.4379 0.3213
H 0.1255 0.8567 0.5010
H 0.4379 0.0778 0.3213
H 0.4390 0.0747 0.6808
H 0.6064 0.6064 0.7001
H 0.6083 0.6083 0.2968
H 0.8567 0.1255 0.5010
Ir 0.4980 0.8499 0.4994
Ir 0.8499 0.4980 0.4994

---

Starting from a structure optimized by DFT (GGA-PBE), the powder XRD pattern of Re2HIrW was simulated for a wavelength of 1.5418 Å.
Intensities are scaled so that the largest is 100.

Top 8 peaks for 2θ from 10° to 90°, in order of falling intensity:
- 39.35°, rel. 100
- 45.64°, rel. 33
- 80.12°, rel. 26
- 66.79°, rel. 22
- 45.98°, rel. 16
- 80.61°, rel. 13
- 84.65°, rel. 12
- 66.53°, rel. 11

Atomic structure:
a = 3.9754 Å, b = 3.9754 Å, c = 3.9478 Å
α = 90.00°, β = 90.00°, γ = 90.00°
Element x y z (fractional)
Re 0.0000 0.5000 0.0000
Re 0.5000 0.0000 0.0000
H 0.0000 0.0000 0.0000
Ir 0.0000 0.0000 0.5000
W 0.5000 0.5000 0.5000